NpMn3O8: calculated powder diffraction line list (Cu Kα), based on a structure optimized by DFT (PBE+U).
Kinematic intensities with the Lorentz-polarization factor, no thermal factor.

Peak list (10 most intense, 10° ≤ 2θ ≤ 90°, in order of falling intensity)
2θ/deg	I (rel.)
30.58	100
51.02	59
17.52	53
24.87	46
60.66	41
39.81	28
35.46	22
43.80	22
83.17	17
54.36	15

Cell and atoms:
```
NpMn3O8
1.0
5.0631 0.0000 0.0000
0.0000 5.0631 0.0000
0.0000 0.0000 5.0631
Np Mn O
1 3 8
Direct
0.0000 0.0000 0.0000
0.0000 0.5000 0.5000
0.5000 0.0000 0.5000
0.5000 0.5000 0.0000
0.2472 0.2472 0.2472
0.2472 0.2472 0.7528
0.2472 0.7528 0.2472
0.2472 0.7528 0.7528
0.7528 0.2472 0.2472
0.7528 0.2472 0.7528
0.7528 0.7528 0.2472
0.7528 0.7528 0.7528
```